1.
The following is a theoretical powder XRD pattern of RbZn2BCl2O3. It was derived from a cell relaxed with PBE, using Cu Kα (weighted mean of Kα1 and Kα2).
Intensities are scaled so that the largest is 100.

Top 10 peaks for 2θ = 5–70°, sorted by position:
2θ (°)	I_rel
9.9	31
19.9	56
20.8	43
24.5	100
26.5	51
35.9	88
39.6	50
41.4	20
42.7	33
64.2	22

abc: 9.361 9.361 9.361
angles: 31.01 31.01 31.01
Fractional coordinates of all 9 atoms:
Rb (0.000, 0.000, 0.000)
Zn (0.194, 0.194, 0.194)
Zn (0.806, 0.806, 0.806)
B (0.500, 0.500, 0.500)
Cl (0.278, 0.278, 0.278)
Cl (0.722, 0.722, 0.722)
O (0.224, 0.776, 0.500)
O (0.500, 0.224, 0.776)
O (0.776, 0.500, 0.224)



2.
The following is a theoretical powder XRD pattern of BaMgCoBi. It was derived from a cell relaxed with PBE, using Cu Kα (weighted mean of Kα1 and Kα2).
Intensities are scaled so that the largest is 100.

Top 10 peaks for 2θ = 5–70°, sorted by position:
2θ (°)	I_rel
20.1	39
23.3	8
33.2	100
39.1	23
47.6	18
52.2	10
53.6	4
59.2	38
63.2	8
69.6	12

abc: 5.403 5.403 5.403
angles: 60.00 60.00 60.00
Fractional coordinates of all 4 atoms:
Ba (0.000, 0.000, 0.000)
Mg (0.500, 0.500, 0.500)
Co (0.250, 0.250, 0.250)
Bi (0.750, 0.750, 0.750)



3.
The following is a theoretical powder XRD pattern of ZnW. It was derived from a cell relaxed with PBE, using Cu Kα (weighted mean of Kα1 and Kα2).
Intensities are scaled so that the largest is 100.

Top 10 peaks for 2θ = 5–70°, sorted by position:
2θ (°)	I_rel
16.2	26
31.4	9
36.1	9
36.5	12
37.5	31
40.3	45
41.5	64
42.8	100
56.2	19
65.8	16

abc: 4.481 10.946 4.978
angles: 90.00 90.00 90.00
Fractional coordinates of all 16 atoms:
Zn (0.250, 0.130, 0.182)
Zn (0.250, 0.250, 0.715)
Zn (0.250, 0.370, 0.182)
Zn (0.250, 0.750, 0.635)
Zn (0.750, 0.250, 0.365)
Zn (0.750, 0.630, 0.818)
Zn (0.750, 0.750, 0.285)
Zn (0.750, 0.870, 0.818)
W (0.250, 0.010, 0.665)
W (0.250, 0.490, 0.665)
W (0.250, 0.616, 0.134)
W (0.250, 0.884, 0.134)
W (0.750, 0.116, 0.866)
W (0.750, 0.384, 0.866)
W (0.750, 0.510, 0.335)
W (0.750, 0.990, 0.335)



4.
The following is a theoretical powder XRD pattern of NaLi4ReO6. It was derived from a cell relaxed with PBE, using Cu Kα (weighted mean of Kα1 and Kα2).
Intensities are scaled so that the largest is 100.

Top 10 peaks for 2θ = 5–70°, sorted by position:
2θ (°)	I_rel
18.4	69
20.6	71
20.9	97
23.8	100
27.7	43
31.6	47
42.5	19
42.9	19
43.6	74
62.0	27

abc: 5.030 5.030 5.083
angles: 99.29 99.29 118.44
Fractional coordinates of all 12 atoms:
Na (0.000, 0.000, 0.000)
Li (0.167, 0.833, 0.500)
Li (0.325, 0.675, 0.000)
Li (0.675, 0.325, 0.000)
Li (0.833, 0.167, 0.500)
Re (0.500, 0.500, 0.500)
O (0.125, 0.443, 0.274)
O (0.270, 0.270, 0.725)
O (0.443, 0.125, 0.274)
O (0.557, 0.875, 0.726)
O (0.730, 0.730, 0.275)
O (0.875, 0.557, 0.726)



5.
The following is a theoretical powder XRD pattern of Al2ZnCu5. It was derived from a cell relaxed with PBE, using Cu Kα (weighted mean of Kα1 and Kα2).
Intensities are scaled so that the largest is 100.

Top 8 peaks for 2θ = 5–70°, sorted by position:
2θ (°)	I_rel
26.3	9
30.5	4
43.7	100
51.7	4
54.2	1
63.4	10
63.5	5
69.9	1

abc: 4.149 4.149 5.859
angles: 90.00 90.00 90.00
Fractional coordinates of all 8 atoms:
Al (0.000, 0.000, 0.000)
Al (0.500, 0.500, 0.500)
Zn (0.000, 0.000, 0.500)
Cu (0.000, 0.500, 0.248)
Cu (0.000, 0.500, 0.752)
Cu (0.500, 0.000, 0.248)
Cu (0.500, 0.000, 0.752)
Cu (0.500, 0.500, 0.000)



6.
The following is a theoretical powder XRD pattern of TmTlFeS3. It was derived from a cell relaxed with PBE, using Cu Kα (weighted mean of Kα1 and Kα2).
Intensities are scaled so that the largest is 100.

Top 10 peaks for 2θ = 5–70°, sorted by position:
2θ (°)	I_rel
16.8	28
20.2	37
21.3	38
24.2	63
25.0	63
30.5	31
30.8	100
31.5	54
35.5	27
46.7	26

abc: 8.815 3.887 9.292
angles: 90.00 108.72 90.00
Fractional coordinates of all 12 atoms:
Tm (0.169, 0.250, 0.146)
Tm (0.831, 0.750, 0.854)
Tl (0.285, 0.750, 0.767)
Tl (0.715, 0.250, 0.233)
Fe (0.425, 0.750, 0.407)
Fe (0.575, 0.250, 0.593)
S (0.039, 0.250, 0.845)
S (0.301, 0.250, 0.461)
S (0.385, 0.750, 0.152)
S (0.615, 0.250, 0.848)
S (0.699, 0.750, 0.539)
S (0.961, 0.750, 0.155)



7.
The following is a theoretical powder XRD pattern of BaMg2Zn3. It was derived from a cell relaxed with PBE, using Cu Kα (weighted mean of Kα1 and Kα2).
Intensities are scaled so that the largest is 100.

Top 10 peaks for 2θ = 5–70°, sorted by position:
2θ (°)	I_rel
20.7	12
29.4	26
30.1	100
32.3	14
33.6	11
36.3	18
41.5	17
42.6	19
44.3	11
52.6	20

abc: 7.018 7.018 6.071
angles: 90.00 90.00 75.34
Fractional coordinates of all 12 atoms:
Ba (0.177, 0.823, 0.750)
Ba (0.823, 0.177, 0.250)
Mg (0.298, 0.298, 0.000)
Mg (0.298, 0.298, 0.500)
Mg (0.702, 0.702, 0.000)
Mg (0.702, 0.702, 0.500)
Zn (0.041, 0.612, 0.250)
Zn (0.388, 0.959, 0.250)
Zn (0.408, 0.592, 0.250)
Zn (0.592, 0.408, 0.750)
Zn (0.612, 0.041, 0.750)
Zn (0.959, 0.388, 0.750)



8.
The following is a theoretical powder XRD pattern of RbSb5Au3. It was derived from a cell relaxed with PBE, using Cu Kα (weighted mean of Kα1 and Kα2).
Intensities are scaled so that the largest is 100.

Top 10 peaks for 2θ = 5–70°, sorted by position:
2θ (°)	I_rel
10.6	100
17.3	22
30.2	27
32.1	43
35.1	23
36.7	76
37.2	22
41.3	97
62.9	22
66.7	17

abc: 5.912 5.912 8.377
angles: 90.00 90.00 120.00
Fractional coordinates of all 9 atoms:
Rb (0.000, 0.000, 0.000)
Sb (0.000, 0.000, 0.500)
Sb (0.333, 0.667, 0.211)
Sb (0.333, 0.667, 0.789)
Sb (0.667, 0.333, 0.211)
Sb (0.667, 0.333, 0.789)
Au (0.000, 0.500, 0.500)
Au (0.500, 0.000, 0.500)
Au (0.500, 0.500, 0.500)



9.
The following is a theoretical powder XRD pattern of RbTa3Ge5. It was derived from a cell relaxed with PBE, using Cu Kα (weighted mean of Kα1 and Kα2).
Intensities are scaled so that the largest is 100.

Top 10 peaks for 2θ = 5–70°, sorted by position:
2θ (°)	I_rel
13.0	95
18.3	23
26.3	28
34.7	33
37.2	43
39.5	83
39.8	26
46.1	100
67.0	25
67.4	25

abc: 5.587 5.587 6.788
angles: 90.00 90.00 120.00
Fractional coordinates of all 9 atoms:
Rb (0.000, 0.000, 0.000)
Ta (0.000, 0.500, 0.500)
Ta (0.500, 0.000, 0.500)
Ta (0.500, 0.500, 0.500)
Ge (0.000, 0.000, 0.500)
Ge (0.333, 0.667, 0.185)
Ge (0.333, 0.667, 0.815)
Ge (0.667, 0.333, 0.185)
Ge (0.667, 0.333, 0.815)



10.
The following is a theoretical powder XRD pattern of Hf2TaNbGe2. It was derived from a cell relaxed with PBE, using Cu Kα (weighted mean of Kα1 and Kα2).
Intensities are scaled so that the largest is 100.

Top 10 peaks for 2θ = 5–70°, sorted by position:
2θ (°)	I_rel
29.3	27
35.0	100
36.4	38
38.3	34
41.1	65
46.9	26
47.1	25
60.4	16
60.8	17
61.0	17

abc: 7.886 7.886 7.886
angles: 151.70 151.53 40.57
Fractional coordinates of all 6 atoms:
Hf (0.177, 0.177, 0.000)
Hf (0.823, 0.823, 0.000)
Ta (0.500, 0.000, 0.500)
Nb (0.000, 0.500, 0.500)
Ge (0.364, 0.364, 0.000)
Ge (0.636, 0.636, 0.000)



11.
The following is a theoretical powder XRD pattern of ZrNbGe4Au2. It was derived from a cell relaxed with PBE, using Cu Kα (weighted mean of Kα1 and Kα2).
Intensities are scaled so that the largest is 100.

Top 10 peaks for 2θ = 5–70°, sorted by position:
2θ (°)	I_rel
9.3	51
18.6	11
34.0	11
37.7	20
37.9	100
46.9	29
50.7	7
61.6	19
68.1	10
68.5	9

abc: 3.875 3.875 9.556
angles: 90.00 90.00 90.00
Fractional coordinates of all 8 atoms:
Zr (0.000, 0.000, 0.000)
Nb (0.500, 0.500, 0.559)
Ge (0.000, 0.000, 0.489)
Ge (0.000, 0.500, 0.772)
Ge (0.500, 0.000, 0.772)
Ge (0.500, 0.500, 0.071)
Au (0.000, 0.500, 0.281)
Au (0.500, 0.000, 0.281)



12.
The following is a theoretical powder XRD pattern of NaSm2Hf2. It was derived from a cell relaxed with PBE, using Cu Kα (weighted mean of Kα1 and Kα2).
Intensities are scaled so that the largest is 100.

Top 10 peaks for 2θ = 5–70°, sorted by position:
2θ (°)	I_rel
11.1	100
29.4	31
32.4	37
32.6	78
33.3	48
35.4	34
36.2	81
43.0	29
49.4	26
59.0	21

abc: 5.383 15.989 3.281
angles: 90.00 90.00 90.00
Fractional coordinates of all 10 atoms:
Na (0.000, 0.000, 0.000)
Na (0.500, 0.500, 0.000)
Sm (0.003, 0.376, 0.000)
Sm (0.497, 0.876, 0.000)
Sm (0.503, 0.124, 0.000)
Sm (0.997, 0.624, 0.000)
Hf (0.004, 0.206, 0.500)
Hf (0.496, 0.706, 0.500)
Hf (0.504, 0.294, 0.500)
Hf (0.996, 0.794, 0.500)